(1)
Calculated powder XRD pattern of Pm2Dy3Er6Th for Cu Kα (λ = 1.5418 Å), from the GGA-PBE geometry in Alexandria.
Intensities are scaled so that the largest is 100.

Crystal structure
abc: 6.153 6.153 11.709
angles: 95.02 95.02 119.96
Fractional coordinates of all 12 atoms:
Pm (0.167, 0.833, 0.000)
Pm (0.833, 0.167, 0.000)
Dy (0.000, 0.000, 0.500)
Dy (0.333, 0.667, 0.500)
Dy (0.667, 0.333, 0.500)
Er (0.086, 0.416, 0.749)
Er (0.255, 0.255, 0.251)
Er (0.416, 0.086, 0.749)
Er (0.584, 0.914, 0.251)
Er (0.745, 0.745, 0.749)
Er (0.914, 0.584, 0.251)
Th (0.500, 0.500, 0.000)

Largest 10 diffraction maxima, by intensity, 2θ = 5–70°:
2θ (°)  d_spacing  I (rel.)
30.84  2.899  100.0
35.82  2.507  67.2
31.03  2.882  32.8
61.25  1.513  28.6
51.43  1.777  24.1
51.68  1.769  23.8
61.51  1.508  14.1
64.26  1.450  12.4
61.31  1.512  9.5
61.15  1.516  4.8

---

(2)
Calculated powder XRD pattern of Pm2DyEr5Th for Cu Kα (λ = 1.5418 Å), from the GGA-PBE geometry in Alexandria.
Intensities are scaled so that the largest is 100.

Crystal structure
abc: 9.790 9.790 9.790
angles: 127.34 127.34 77.70
Fractional coordinates of all 18 atoms:
Pm (0.116, 0.616, 0.731)
Pm (0.384, 0.116, 0.500)
Pm (0.616, 0.884, 0.500)
Pm (0.884, 0.384, 0.269)
Dy (0.250, 0.750, 0.500)
Dy (0.750, 0.250, 0.500)
Er (0.000, 0.000, 0.000)
Er (0.074, 0.149, 0.500)
Er (0.149, 0.649, 0.075)
Er (0.351, 0.426, 0.500)
Er (0.426, 0.926, 0.075)
Er (0.500, 0.500, 0.000)
Er (0.574, 0.074, 0.925)
Er (0.649, 0.574, 0.500)
Er (0.851, 0.351, 0.925)
Er (0.926, 0.851, 0.500)
Th (0.250, 0.250, 0.000)
Th (0.750, 0.750, 0.000)

Largest 10 diffraction maxima, by intensity, 2θ = 5–70°:
2θ (°)  d_spacing  I (rel.)
31.22  2.865  100.0
29.08  3.070  53.9
28.93  3.086  37.5
52.91  1.730  25.9
43.35  2.087  19.5
32.61  2.746  14.2
37.82  2.379  13.8
56.86  1.619  13.2
47.71  1.906  11.0
59.45  1.555  8.7

---

(3)
Calculated powder XRD pattern of Pm2DyErTl2 for Cu Kα (λ = 1.5418 Å), from the GGA-PBE geometry in Alexandria.
Intensities are scaled so that the largest is 100.

Crystal structure
abc: 5.137 10.141 6.853
angles: 90.00 90.00 90.00
Fractional coordinates of all 12 atoms:
Pm (0.000, 0.042, 0.000)
Pm (0.000, 0.958, 0.500)
Pm (0.500, 0.187, 0.273)
Pm (0.500, 0.813, 0.773)
Dy (0.500, 0.459, 0.907)
Dy (0.500, 0.541, 0.407)
Er (0.000, 0.316, 0.625)
Er (0.000, 0.684, 0.125)
Tl (0.000, 0.374, 0.163)
Tl (0.000, 0.626, 0.663)
Tl (0.500, 0.144, 0.743)
Tl (0.500, 0.856, 0.243)

Largest 10 diffraction maxima, by intensity, 2θ = 5–70°:
2θ (°)  d_spacing  I (rel.)
31.69  2.824  100.0
32.63  2.744  80.6
34.93  2.569  57.4
31.38  2.850  55.2
34.35  2.611  32.2
37.37  2.406  24.2
31.51  2.839  22.6
60.61  1.528  18.9
52.08  1.756  18.8
29.46  3.032  17.3

---

(4)
Calculated powder XRD pattern of PmDyEr2Tm2 for Cu Kα (λ = 1.5418 Å), from the GGA-PBE geometry in Alexandria.
Intensities are scaled so that the largest is 100.

Crystal structure
abc: 6.504 17.587 3.373
angles: 90.00 90.00 90.00
Fractional coordinates of all 12 atoms:
Pm (0.000, 0.000, 0.000)
Pm (0.500, 0.500, 0.500)
Dy (0.000, 0.500, 0.000)
Dy (0.500, 0.000, 0.500)
Er (0.226, 0.185, 0.000)
Er (0.274, 0.685, 0.500)
Er (0.726, 0.315, 0.500)
Er (0.774, 0.815, 0.000)
Tm (0.224, 0.351, 0.500)
Tm (0.276, 0.851, 0.000)
Tm (0.724, 0.149, 0.000)
Tm (0.776, 0.649, 0.500)

Largest 10 diffraction maxima, by intensity, 2θ = 5–70°:
2θ (°)  d_spacing  I (rel.)
30.54  2.927  100.0
29.28  3.050  56.5
41.53  2.174  41.7
34.30  2.615  34.1
33.56  2.670  27.7
31.57  2.834  20.5
36.30  2.475  20.5
26.92  3.312  18.5
65.69  1.421  16.2
62.98  1.476  15.9